Starting from DFT lattice parameters and positions (PBE), the powder X-ray diffraction pattern of TbGa5Ni2Ru was calculated for Cu Kα.

Structural model:
```
data_TbGa5Ni2Ru
_chemical_formula_sum 'Tb1 Ga5 Ni2 Ru1'
_space_group_name_H-M_alt 'P 4/m m m'
_space_group_IT_number 123
_space_group_name_Hall '-P 4 2'
_cell_length_a 4.606
_cell_length_b 4.606
_cell_length_c 7.028
_cell_angle_alpha 90.00
_cell_angle_beta 90.00
_cell_angle_gamma 90.00
loop_
_atom_site_label
_atom_site_type_symbol
_atom_site_fract_x
_atom_site_fract_y
_atom_site_fract_z
Tb1 Tb 0.000 0.000 0.000
Ga1 Ga 0.000 0.500 0.305
Ga2 Ga 0.500 0.500 0.000
Ni1 Ni 0.500 0.500 0.328
Ru1 Ru 0.000 0.000 0.500
```

Most intense lines, 2θ from 10° to 80°, in order of falling intensity:
d (Å)	2θ/deg	intensity	h k l
2.303	39.1	100.0	2 0 0
2.389	37.7	92.1	1 1 2
2.794	32.0	40.7	1 0 2
1.642	56.0	37.6	2 0 3
1.628	56.5	33.2	2 2 0
1.346	69.9	29.5	3 1 2
2.343	38.4	23.8	0 0 3
1.337	70.4	21.8	2 2 3
1.777	51.4	21.1	2 1 2
2.955	30.2	19.0	1 1 1

Starting from DFT lattice parameters and positions (PBE), the powder X-ray diffraction pattern of Nd5Te4Pd was calculated for Cu Kα.

Structural model:
```
data_Nd5Te4Pd
_chemical_formula_sum 'Nd10 Te8 Pd2'
_space_group_name_H-M_alt 'I 4/m m m'
_space_group_IT_number 139
_space_group_name_Hall '-I 4 2'
_cell_length_a 4.449
_cell_length_b 4.449
_cell_length_c 31.580
_cell_angle_alpha 90.00
_cell_angle_beta 90.00
_cell_angle_gamma 90.00
loop_
_atom_site_label
_atom_site_type_symbol
_atom_site_fract_x
_atom_site_fract_y
_atom_site_fract_z
Nd1 Nd 0.000 0.000 0.000
Nd2 Nd 0.000 0.000 0.206
Nd3 Nd 0.000 0.000 0.410
Te1 Te 0.000 0.000 0.103
Te2 Te 0.000 0.000 0.307
Pd1 Pd 0.000 0.000 0.500
```

Most intense lines, 2θ from 10° to 80°, in order of falling intensity:
d (Å)	2θ/deg	intensity	h k l
2.227	40.5	100.0	2 0 0
3.146	28.4	97.2	1 1 0
3.158	28.3	42.0	0 0 10
1.819	50.2	34.0	2 0 10
1.285	73.7	21.2	3 1 10
1.407	66.4	17.0	3 1 0
1.408	66.4	14.5	2 2 10
1.573	58.7	12.4	2 2 0
2.755	32.5	9.6	1 0 9
1.411	66.2	8.5	1 1 20

Starting from DFT lattice parameters and positions (PBE), the powder X-ray diffraction pattern of Ba2PrF7 was calculated for Cu Kα.

Structural model:
```
data_Ba2PrF7
_chemical_formula_sum 'Ba2 Pr1 F7'
_space_group_name_H-M_alt 'P 1'
_space_group_IT_number 1
_cell_length_a 4.420
_cell_length_b 4.426
_cell_length_c 9.800
_cell_angle_alpha 78.86
_cell_angle_beta 79.32
_cell_angle_gamma 88.68
loop_
_space_group_symop_operation_xyz
'x,y,z'
loop_
_atom_site_label
_atom_site_type_symbol
_atom_site_fract_x
_atom_site_fract_y
_atom_site_fract_z
Ba1 Ba 0.000 0.000 0.000
Ba2 Ba 0.361 0.347 0.323
Pr1 Pr 0.591 0.569 0.682
F1 F 0.058 0.496 0.765
F2 F 0.335 0.784 0.495
F3 F 0.426 0.910 0.166
F4 F 0.488 0.453 0.935
F5 F 0.526 0.032 0.768
F6 F 0.801 0.318 0.495
F7 F 0.923 0.418 0.165
```

Most intense lines, 2θ from 10° to 80°, in order of falling intensity:
d (Å)	2θ/deg	intensity	h k l
3.691	24.1	100.0	1 0 -1
3.556	25.0	52.6	0 1 2
3.539	25.2	51.9	1 0 2
3.154	28.3	45.7	0 0 3
2.212	40.8	41.4	-1 1 3
2.200	41.0	23.3	1 -1 3
3.091	28.9	22.8	1 -1 0
2.207	40.9	20.3	2 0 1
2.301	39.2	18.8	1 1 -2
2.166	41.7	16.0	1 1 4

Starting from DFT lattice parameters and positions (PBE), the powder X-ray diffraction pattern of Cs4KBr2 was calculated for Cu Kα.

Structural model:
```
data_Cs4KBr2
_chemical_formula_sum 'Cs8 K2 Br4'
_space_group_name_H-M_alt 'I 4/m m m'
_space_group_IT_number 139
_space_group_name_Hall '-I 4 2'
_cell_length_a 7.763
_cell_length_b 7.763
_cell_length_c 20.281
_cell_angle_alpha 90.00
_cell_angle_beta 90.00
_cell_angle_gamma 90.00
loop_
_atom_site_label
_atom_site_type_symbol
_atom_site_fract_x
_atom_site_fract_y
_atom_site_fract_z
Cs1 Cs 0.000 0.000 0.242
Cs2 Cs 0.000 0.500 0.000
K1 K 0.000 0.000 0.000
Br1 Br 0.000 0.000 0.406
```

Most intense lines, 2θ from 10° to 80°, in order of falling intensity:
d (Å)	2θ/deg	intensity	h k l
4.827	18.4	100.0	1 1 2
3.881	22.9	92.5	2 0 0
2.878	31.1	61.4	1 1 6
1.986	45.7	41.6	3 1 6
3.082	29.0	37.7	2 0 4
2.744	32.6	37.0	2 2 0
5.071	17.5	32.7	0 0 4
2.386	37.7	32.5	3 1 2
3.595	24.8	20.9	1 0 5
2.122	42.6	19.3	2 0 8

Starting from DFT lattice parameters and positions (PBE), the powder X-ray diffraction pattern of Tb6PmHo12 was calculated for Cu Kα.

Structural model:
```
data_Tb6PmHo12
_chemical_formula_sum 'Tb18 Pm3 Ho36'
_space_group_name_H-M_alt 'R -3'
_space_group_IT_number 148
_space_group_name_Hall '-R 3'
_cell_length_a 15.4301
_cell_length_b 15.4301
_cell_length_c 8.6732
_cell_angle_alpha 90.00
_cell_angle_beta 90.00
_cell_angle_gamma 120.00
loop_
_atom_site_label
_atom_site_type_symbol
_atom_site_fract_x
_atom_site_fract_y
_atom_site_fract_z
Tb1 Tb 0.0352 0.7548 0.3334
Pm1 Pm 0.0000 0.0000 0.0000
Ho1 Ho 0.0175 0.8769 0.6661
Ho2 Ho 0.0698 0.5087 0.6670
```

Most intense lines, 2θ from 10° to 80°, in order of falling intensity:
d (Å)	2θ/deg	intensity	h k l
2.891	30.9	100.0	0 0 3
2.503	35.9	50.6	2 3 2
1.510	61.4	42.8	7 1 3
1.770	51.6	36.0	7 1 0
1.445	64.5	12.3	0 0 6
1.252	76.0	5.7	4 6 4

Starting from DFT lattice parameters and positions (PBE), the powder X-ray diffraction pattern of LaSmYEr2 was calculated for Cu Kα.

Structural model:
```
data_LaSmYEr2
_chemical_formula_sum 'La4 Sm4 Y4 Er8'
_space_group_name_H-M_alt 'C m c m'
_space_group_IT_number 63
_space_group_name_Hall '-C 2c 2'
_cell_length_a 8.411
_cell_length_b 11.554
_cell_length_c 7.240
_cell_angle_alpha 90.00
_cell_angle_beta 90.00
_cell_angle_gamma 90.00
loop_
_atom_site_label
_atom_site_type_symbol
_atom_site_fract_x
_atom_site_fract_y
_atom_site_fract_z
La1 La 0.000 0.228 0.250
Sm1 Sm 0.000 0.492 0.250
Y1 Y 0.000 0.223 0.750
Er1 Er 0.188 0.000 0.000
```

Most intense lines, 2θ from 10° to 80°, in order of falling intensity:
d (Å)	2θ/deg	intensity	h k l
2.744	32.6	100.0	2 0 2
1.989	45.6	68.4	2 4 2
2.888	31.0	67.6	0 4 0
2.517	35.7	57.8	1 3 2
3.067	29.1	57.3	0 2 2
5.777	15.3	55.0	0 2 0
2.267	39.8	47.6	3 3 0
3.195	27.9	46.2	1 1 2
2.725	32.9	45.9	3 1 0
3.400	26.2	43.6	2 2 0

Starting from DFT lattice parameters and positions (PBE), the powder X-ray diffraction pattern of SiBi2O5 was calculated for Cu Kα.

Structural model:
```
data_SiBi2O5
_chemical_formula_sum 'Si4 Bi8 O20'
_space_group_name_H-M_alt 'C m c 21'
_space_group_IT_number 36
_cell_length_a 15.399
_cell_length_b 5.558
_cell_length_c 5.407
_cell_angle_alpha 90.00
_cell_angle_beta 90.00
_cell_angle_gamma 90.00
loop_
_space_group_symop_operation_xyz
'x,y,z'
'-x,-y,z+1/2'
'-x,y,z'
'x,-y,z+1/2'
'x+1/2,y+1/2,z'
'-x+1/2,-y+1/2,z+1/2'
'-x+1/2,y+1/2,z'
'x+1/2,-y+1/2,z+1/2'
loop_
_atom_site_label
_atom_site_type_symbol
_atom_site_fract_x
_atom_site_fract_y
_atom_site_fract_z
Si1 Si 0.000 0.177 0.000
Bi1 Bi 0.166 0.281 0.574
O1 O 0.000 0.023 0.266
O2 O 0.091 0.325 0.979
O3 O 0.249 0.011 0.799
```

Most intense lines, 2θ from 10° to 80°, in order of falling intensity:
d (Å)	2θ/deg	intensity	h k l
3.093	28.9	100.0	3 1 1
7.700	11.5	33.7	2 0 0
3.761	23.7	27.9	1 1 1
2.703	33.1	15.5	0 0 2
1.565	59.0	14.7	9 1 1
1.626	56.6	14.6	3 1 3
1.938	46.9	14.6	0 2 2
2.779	32.2	14.2	0 2 0
2.567	35.0	13.0	6 0 0
1.861	48.9	12.7	6 0 2

Starting from DFT lattice parameters and positions (PBE), the powder X-ray diffraction pattern of KNaTiTe3 was calculated for Cu Kα.

Structural model:
```
data_KNaTiTe3
_chemical_formula_sum 'K4 Na4 Ti4 Te12'
_space_group_name_H-M_alt 'C 1 2/c 1'
_space_group_IT_number 15
_cell_length_a 7.794
_cell_length_b 15.441
_cell_length_c 7.343
_cell_angle_alpha 90.00
_cell_angle_beta 103.78
_cell_angle_gamma 90.00
loop_
_space_group_symop_operation_xyz
'x,y,z'
'-x,-y,-z'
'-x,y,-z+1/2'
'x,-y,z+1/2'
'x+1/2,y+1/2,z'
'-x+1/2,-y+1/2,-z'
'-x+1/2,y+1/2,-z+1/2'
'x+1/2,-y+1/2,z+1/2'
loop_
_atom_site_label
_atom_site_type_symbol
_atom_site_fract_x
_atom_site_fract_y
_atom_site_fract_z
K1 K 0.000 0.242 0.250
Na1 Na 0.000 0.416 0.750
Ti1 Ti 0.000 0.051 0.750
Te1 Te 0.000 0.219 0.750
Te2 Te 0.230 0.044 0.505
```

Most intense lines, 2θ from 10° to 80°, in order of falling intensity:
d (Å)	2θ/deg	intensity	h k l
3.398	26.2	100.0	2 2 0
3.237	27.6	89.8	0 2 2
2.973	30.1	80.6	2 0 -2
4.466	19.9	61.5	1 1 1
2.575	34.8	61.1	1 5 1
2.333	38.6	47.4	2 0 2
3.891	22.9	45.6	1 3 -1
3.860	23.0	41.4	0 4 0
7.721	11.5	38.8	0 2 0
3.457	25.8	36.5	1 3 1

Starting from DFT lattice parameters and positions (PBE), the powder X-ray diffraction pattern of CeSmMg2 was calculated for Cu Kα.

Structural model:
```
data_CeSmMg2
_chemical_formula_sum 'Ce1 Sm1 Mg2'
_space_group_name_H-M_alt 'P 4/m m m'
_space_group_IT_number 123
_space_group_name_Hall '-P 4 2'
_cell_length_a 3.802
_cell_length_b 3.802
_cell_length_c 7.851
_cell_angle_alpha 90.00
_cell_angle_beta 90.00
_cell_angle_gamma 90.00
loop_
_atom_site_label
_atom_site_type_symbol
_atom_site_fract_x
_atom_site_fract_y
_atom_site_fract_z
Ce1 Ce 0.000 0.000 0.000
Sm1 Sm 0.000 0.000 0.500
Mg1 Mg 0.500 0.500 0.252
```

Most intense lines, 2θ from 10° to 80°, in order of falling intensity:
d (Å)	2θ/deg	intensity	h k l
2.731	32.8	100.0	1 0 2
3.802	23.4	56.8	1 0 0
2.688	33.3	47.9	1 1 0
1.560	59.2	36.3	2 1 2
3.926	22.7	30.7	0 0 2
2.218	40.7	27.0	1 1 2
1.585	58.2	19.1	1 1 4
1.901	47.8	17.3	2 0 0
1.744	52.5	13.0	1 0 4
1.711	53.6	12.2	2 0 2